[1]
For ZrVCuS4, a cell relaxed with GGA-PBE gives the computed powder XRD pattern in this record (Cu Kα (weighted mean of Kα1 and Kα2)).

Crystal structure
Cell: 7.2366 7.2797 10.0712 Å, 90.00 90.00 90.00°
Space group Imma (No. 74)
One atom of each set of equivalent atoms:
Zr  0.0000  0.0000  0.0000 [4 per cell]
V  0.2500  0.2500  0.2500 [4 per cell]
Cu  0.0000  0.2500  0.6320 [4 per cell]
S  0.0000  0.0216  0.2546 [8 per cell]
S  0.2495  0.2500  0.0061 [8 per cell]

Main lines, by angle (15° ≤ 2θ ≤ 90°):
- (1 0 1), 2θ = 15.07°, I = 20
- (1 1 2), 2θ = 24.77°, I = 25
- (1 2 1), 2θ = 28.88°, I = 100
- (1 0 3), 2θ = 29.32°, I = 56
- (2 2 0), 2θ = 34.97°, I = 44
- (0 0 4), 2θ = 35.66°, I = 21
- (3 2 1), 2θ = 46.03°, I = 18
- (0 4 0), 2θ = 50.12°, I = 20
- (4 0 0), 2θ = 50.44°, I = 20
- (2 2 4), 2θ = 50.80°, I = 78

=====

[2]
For Pu4TlCu3Se12, a cell relaxed with GGA-PBE gives the computed powder XRD pattern in this record (Cu Kα (weighted mean of Kα1 and Kα2)).

Crystal structure
Cell: 10.2364 10.2364 10.2364 Å, 90.00 90.00 90.00°
Space group Im-3 (No. 204)
One atom of each set of equivalent atoms:
Pu  0.2500  0.2500  0.2500 [8 per cell]
Tl  0.0000  0.0000  0.0000 [2 per cell]
Cu  0.0000  0.0000  0.5000 [6 per cell]
Se  0.0000  0.1618  0.3269 [24 per cell]

Main lines, by angle (15° ≤ 2θ ≤ 90°):
- (2 0 0), 2θ = 17.33°, I = 26
- (2 2 0), 2θ = 24.60°, I = 100
- (3 1 0), 2θ = 27.56°, I = 39
- (3 2 1), 2θ = 32.73°, I = 24
- (4 0 0), 2θ = 35.06°, I = 31
- (4 0 2), 2θ = 39.36°, I = 29
- (4 2 2), 2θ = 43.30°, I = 95
- (6 0 2), 2θ = 56.89°, I = 31
- (6 4 2), 2θ = 68.61°, I = 25
- (6 6 0), 2θ = 79.44°, I = 33

=====

[3]
For Cs3Mg2TlI9, a cell relaxed with GGA-PBE gives the computed powder XRD pattern in this record (Cu Kα (weighted mean of Kα1 and Kα2)).

Crystal structure
Cell: 8.5518 8.5518 10.4921 Å, 90.00 90.00 120.00°
Space group P-3m1 (No. 164)
One atom of each set of equivalent atoms:
Cs  0.0000  0.0000  0.0000 [1 per cell]
Cs  0.3333  0.6667  0.6660 [2 per cell]
Mg  0.3333  0.6667  0.1557 [2 per cell]
Tl  0.0000  0.0000  0.5000 [1 per cell]
I  0.0000  0.5000  0.0000 [3 per cell]
I  0.1750  0.3499  0.3261 [6 per cell]

Main lines, by angle (15° ≤ 2θ ≤ 90°):
- (1 1 0), 2θ = 20.76°, I = 14
- (0 0 3), 2θ = 25.50°, I = 100
- (2 0 2), 2θ = 29.53°, I = 100
- (0 2 4), 2θ = 42.25°, I = 72
- (2 0 5), 2θ = 50.00°, I = 44
- (0 0 6), 2θ = 52.38°, I = 25
- (4 0 4), 2θ = 61.28°, I = 12
- (2 2 6), 2θ = 69.47°, I = 32
- (2 4 4), 2θ = 77.28°, I = 17
- (4 2 5), 2θ = 82.94°, I = 10

=====

[4]
For TaCrCuS4, a cell relaxed with GGA-PBE gives the computed powder XRD pattern in this record (Cu Kα (weighted mean of Kα1 and Kα2)).

Crystal structure
Cell: 6.8999 7.2629 9.9511 Å, 90.00 90.00 90.00°
Space group Imma (No. 74)
One atom of each set of equivalent atoms:
Ta  0.2500  0.2500  0.2500 [4 per cell]
Cr  0.0000  0.0000  0.0000 [4 per cell]
Cu  0.0000  0.2500  0.6277 [4 per cell]
S  0.0000  0.0045  0.2435 [8 per cell]
S  0.2324  0.2500  0.0022 [8 per cell]

Main lines, by angle (15° ≤ 2θ ≤ 90°):
- (0 1 1), 2θ = 15.10°, I = 85
- (0 0 2), 2θ = 17.83°, I = 26
- (0 2 0), 2θ = 24.51°, I = 30
- (0 1 3), 2θ = 29.61°, I = 50
- (2 1 1), 2θ = 30.05°, I = 100
- (2 2 0), 2θ = 35.90°, I = 52
- (0 0 4), 2θ = 36.10°, I = 26
- (2 3 1), 2θ = 46.74°, I = 32
- (0 4 0), 2θ = 50.25°, I = 21
- (2 2 4), 2θ = 51.83°, I = 74

=====

[5]
For ThNpCo, a cell relaxed with GGA-PBE gives the computed powder XRD pattern in this record (Cu Kα (weighted mean of Kα1 and Kα2)).

Crystal structure
Cell: 3.7129 3.7129 32.3449 Å, 90.00 90.00 120.00°
Space group R-3m (No. 166, hexagonal axes)
One atom of each set of equivalent atoms:
Th  0.0000  0.0000  0.0970 [6 per cell]
Np  0.0000  0.0000  0.3501 [6 per cell]
Co  0.0000  0.0000  0.1866 [6 per cell]

Main lines, by angle (15° ≤ 2θ ≤ 90°):
- (0 0 9), 2θ = 24.77°, I = 28
- (1 0 4), 2θ = 29.90°, I = 100
- (0 1 5), 2θ = 31.06°, I = 19
- (1 0 7), 2θ = 33.97°, I = 64
- (0 1 11), 2θ = 41.62°, I = 52
- (1 0 13), 2θ = 46.13°, I = 20
- (1 1 0), 2θ = 49.07°, I = 54
- (1 0 16), 2θ = 53.55°, I = 18
- (1 1 9), 2θ = 55.73°, I = 20
- (0 1 20), 2θ = 64.50°, I = 17